(1)
Computed powder diffractogram
Compound: ThNi2H2
Radiation: Cu Kα
Structure: a cell relaxed with PBE
No peak broadening, texture or thermal motion is included.

The 10 most intense peaks (10° ≤ 2θ ≤ 90°), in order of falling intensity:
Position (°2θ)	I (rel.)	h k l
34.8	100	1 0 1
41.7	47	1 1 0
23.7	38	1 0 0
55.5	27	2 0 1
71.8	25	2 1 1
68.4	21	1 1 2
51.6	8	0 0 2
86.4	8	1 0 3
76.2	8	3 0 0
57.5	8	1 0 2

Atomic structure:
a = 4.3274 Å, b = 4.3274 Å, c = 3.5436 Å
α = 90.00°, β = 90.00°, γ = 120.00°
Space group P6/mmm (No. 191)
Inequivalent atoms, fractional coordinates:
Th1 0.0000 0.0000 0.0000 [1 per cell]
Ni1 0.3333 0.6667 0.5000 [2 per cell]
H1 0.3333 0.6667 0.0000 [2 per cell]

***

(2)
Computed powder diffractogram
Compound: TiNiH
Radiation: Cu Kα
Structure: a cell relaxed with PBE
No peak broadening, texture or thermal motion is included.

The 10 most intense peaks (10° ≤ 2θ ≤ 90°), in order of falling intensity:
Position (°2θ)	I (rel.)	h k l
36.9	100	1 1 1
46.0	77	1 3 1
44.9	32	0 4 1
47.3	31	0 0 2
37.9	31	0 4 0
55.0	19	2 0 0
18.7	14	0 2 0
75.5	14	2 0 2
39.2	13	1 3 0
73.6	13	2 4 1

Atomic structure:
a = 3.3382 Å, b = 9.4956 Å, c = 3.8405 Å
α = 90.00°, β = 90.00°, γ = 90.00°
Space group Cmcm (No. 63)
Inequivalent atoms, fractional coordinates:
Ti1 0.0000 0.1419 0.2500 [4 per cell]
Ni1 0.0000 0.4141 0.2500 [4 per cell]
H1 0.0000 0.0822 0.7500 [4 per cell]

***

(3)
Computed powder diffractogram
Compound: ZrTiNi2H2
Radiation: Cu Kα
Structure: a cell relaxed with PBE
No peak broadening, texture or thermal motion is included.

The 10 most intense peaks (10° ≤ 2θ ≤ 90°), in order of falling intensity:
Position (°2θ)	I (rel.)	h k l
36.1	100	1 1 1
44.8	67	1 1 3
43.0	38	1 0 4
44.4	36	2 0 0
38.7	31	0 1 3
36.6	24	0 0 4
72.7	18	1 2 4
55.5	18	0 2 0
60.3	16	2 1 3
18.1	16	0 0 2

Atomic structure:
a = 4.0828 Å, b = 3.3107 Å, c = 9.8084 Å
α = 90.00°, β = 90.00°, γ = 90.00°
Space group Amm2 (No. 38)
Inequivalent atoms, fractional coordinates:
Zr1 0.0000 0.0000 0.0000 [2 per cell]
Ti1 0.5000 0.0000 0.2812 [2 per cell]
Ni1 0.0000 0.0000 0.7300 [2 per cell]
Ni2 0.5000 0.0000 0.5793 [2 per cell]
H1 0.0000 0.0000 0.3271 [2 per cell]
H2 0.5000 0.0000 0.0580 [2 per cell]